ZnS: computed X-ray powder pattern (Cu Kα (weighted mean of Kα1 and Kα2)), based on a DFT-relaxed cell (PBE, the Materials Project).

Atomic structure:
```
ZnS
1.0
1.9387 1.1193 56.5110
-1.9387 1.1193 56.5110
0.0000 -2.2386 56.5110
Zn S
18 18
Direct
0.0000 0.0000 0.0000 Zn
0.0370 0.0370 0.0370 Zn
0.0741 0.0741 0.0741 Zn
0.1111 0.1111 0.1111 Zn
0.1852 0.1852 0.1852 Zn
0.2593 0.2593 0.2593 Zn
0.2963 0.2963 0.2963 Zn
0.3519 0.3519 0.3519 Zn
0.4259 0.4259 0.4259 Zn
0.4815 0.4815 0.4815 Zn
0.5370 0.5370 0.5370 Zn
0.5741 0.5741 0.5741 Zn
0.6482 0.6482 0.6482 Zn
0.7222 0.7222 0.7222 Zn
0.7963 0.7963 0.7963 Zn
0.8333 0.8333 0.8333 Zn
0.8889 0.8889 0.8889 Zn
0.9444 0.9444 0.9444 Zn
0.0232 0.0232 0.0232 S
0.0602 0.0602 0.0602 S
0.0973 0.0973 0.0973 S
0.1713 0.1713 0.1713 S
0.2454 0.2454 0.2454 S
0.2824 0.2824 0.2824 S
0.3380 0.3380 0.3380 S
0.4121 0.4121 0.4121 S
0.4676 0.4676 0.4676 S
0.5232 0.5232 0.5232 S
0.5602 0.5602 0.5602 S
0.6343 0.6343 0.6343 S
0.7083 0.7083 0.7083 S
0.7824 0.7824 0.7824 S
0.8195 0.8195 0.8195 S
0.8750 0.8750 0.8750 S
0.9306 0.9306 0.9306 S
0.9861 0.9861 0.9861 S
```

Peak list (12 most intense, 10° ≤ 2θ ≤ 90°, by angle)
Position (°2θ), Rel. int.
27.18, 23
27.43, 43
28.04, 54
28.42, 94
29.01, 19
29.93, 27
30.44, 21
46.68, 21
46.86, 100
50.96, 18
51.94, 16
55.73, 68